# 1
Structure and calculated PXRD pattern of Mn2CrF6 (a structure optimized by DFT (GGA+U); Cu Ka).
Lines closer than 0.1° are merged.

Structural model:
abc: 4.884 4.884 10.247
angles: 90.00 90.00 90.00
Sites, in units of the cell vectors:
Mn 0.000 0.000 0.167
Mn 0.000 0.000 0.833
Mn 0.500 0.500 0.333
Mn 0.500 0.500 0.667
Cr 0.000 0.000 0.500
Cr 0.500 0.500 0.000
F 0.196 0.196 0.331
F 0.196 0.196 0.669
F 0.203 0.203 0.000
F 0.297 0.703 0.500
F 0.304 0.696 0.169
F 0.304 0.696 0.831
F 0.696 0.304 0.169
F 0.696 0.304 0.831
F 0.703 0.297 0.500
F 0.797 0.797 0.000
F 0.804 0.804 0.331
F 0.804 0.804 0.669

Largest 10 diffraction maxima, low angle first, 10° ≤ 2θ ≤ 80°:
- 2θ 25.80, I = 100
- 2θ 31.97, I = 57
- 2θ 37.02, I = 26
- 2θ 49.54, I = 71
- 2θ 53.03, I = 21
- 2θ 53.67, I = 14
- 2θ 59.89, I = 9
- 2θ 60.47, I = 15
- 2θ 63.28, I = 26
- 2θ 78.82, I = 11


# 2
Structure and calculated PXRD pattern of Mn3CrF8 (a structure optimized by DFT (GGA+U); Cu Ka).
Lines closer than 0.1° are merged.

Structural model:
abc: 5.912 5.912 6.339
angles: 90.00 90.00 122.81
Sites, in units of the cell vectors:
Mn 0.000 0.000 0.000
Mn 0.000 0.500 0.745
Mn 0.500 0.000 0.255
Cr 0.000 0.000 0.500
F 0.198 0.271 0.742
F 0.208 0.792 0.000
F 0.225 0.775 0.500
F 0.271 0.198 0.258
F 0.729 0.802 0.258
F 0.775 0.225 0.500
F 0.792 0.208 0.000
F 0.802 0.729 0.742

Largest 10 diffraction maxima, low angle first, 10° ≤ 2θ ≤ 80°:
- 2θ 17.85, I = 97
- 2θ 22.74, I = 100
- 2θ 33.53, I = 38
- 2θ 34.56, I = 50
- 2θ 42.84, I = 70
- 2θ 46.71, I = 13
- 2θ 48.89, I = 21
- 2θ 55.33, I = 12
- 2θ 56.17, I = 41
- 2θ 58.22, I = 12


# 3
Structure and calculated PXRD pattern of MnCr4F12 (a structure optimized by DFT (GGA+U); Cu Ka).
Lines closer than 0.1° are merged.

Structural model:
abc: 6.768 6.768 6.768
angles: 112.47 108.85 107.14
Sites, in units of the cell vectors:
Mn 0.000 0.000 0.000
Cr 0.000 0.000 0.500
Cr 0.000 0.500 0.000
Cr 0.500 0.000 0.000
Cr 0.500 0.500 0.500
F 0.005 0.701 0.304
F 0.229 0.183 0.413
F 0.229 0.817 0.046
F 0.238 0.057 0.819
F 0.238 0.419 0.181
F 0.398 0.701 0.696
F 0.602 0.299 0.304
F 0.762 0.581 0.819
F 0.762 0.943 0.181
F 0.771 0.183 0.954
F 0.771 0.817 0.587
F 0.995 0.299 0.696

Largest 10 diffraction maxima, low angle first, 10° ≤ 2θ ≤ 80°:
- 2θ 15.75, I = 58
- 2θ 22.12, I = 100
- 2θ 22.58, I = 91
- 2θ 23.65, I = 57
- 2θ 31.82, I = 42
- 2θ 32.60, I = 58
- 2θ 32.93, I = 60
- 2θ 45.11, I = 53
- 2θ 46.11, I = 46
- 2θ 59.08, I = 49


# 4
Structure and calculated PXRD pattern of NaMn2CrF8 (a structure optimized by DFT (GGA+U); Cu Ka).
Lines closer than 0.1° are merged.

Structural model:
abc: 4.893 6.679 4.912
angles: 90.00 90.28 90.00
Sites, in units of the cell vectors:
Na 0.000 0.000 0.000
Mn 0.500 0.248 0.500
Mn 0.500 0.752 0.500
Cr 0.000 0.500 0.000
F 0.196 0.289 0.193
F 0.196 0.711 0.193
F 0.286 0.500 0.711
F 0.312 0.000 0.683
F 0.688 0.000 0.317
F 0.714 0.500 0.289
F 0.804 0.289 0.807
F 0.804 0.711 0.807

Largest 10 diffraction maxima, low angle first, 10° ≤ 2θ ≤ 80°:
- 2θ 22.50, I = 26
- 2θ 25.64, I = 99
- 2θ 25.76, I = 100
- 2θ 32.44, I = 98
- 2θ 37.37, I = 60
- 2θ 49.68, I = 69
- 2θ 49.82, I = 67
- 2θ 61.67, I = 27
- 2θ 63.26, I = 27
- 2θ 63.48, I = 26


# 5
Structure and calculated PXRD pattern of NaMnCrF6 (a structure optimized by DFT (GGA+U); Cu Ka).
Lines closer than 0.1° are merged.

Structural model:
abc: 9.162 9.162 5.069
angles: 90.00 90.00 120.00
Sites, in units of the cell vectors:
Na 0.000 0.370 0.000
Na 0.370 0.000 0.000
Na 0.630 0.630 0.000
Mn 0.000 0.701 0.500
Mn 0.299 0.299 0.500
Mn 0.701 0.000 0.500
Cr 0.000 0.000 0.000
Cr 0.333 0.667 0.497
Cr 0.667 0.333 0.503
F 0.099 0.201 0.222
F 0.102 0.901 0.222
F 0.130 0.592 0.286
F 0.201 0.099 0.778
F 0.225 0.459 0.706
F 0.234 0.775 0.706
F 0.408 0.538 0.286
F 0.459 0.225 0.294
F 0.462 0.870 0.286
F 0.538 0.408 0.714
F 0.541 0.766 0.706
F 0.592 0.130 0.714
F 0.766 0.541 0.294
F 0.775 0.234 0.294
F 0.799 0.898 0.222
F 0.870 0.462 0.714
F 0.898 0.799 0.778
F 0.901 0.102 0.778

Largest 10 diffraction maxima, low angle first, 10° ≤ 2θ ≤ 80°:
- 2θ 17.50, I = 40
- 2θ 19.38, I = 41
- 2θ 20.80, I = 52
- 2θ 26.22, I = 100
- 2θ 28.57, I = 52
- 2θ 34.76, I = 29
- 2θ 38.39, I = 77
- 2θ 49.83, I = 98
- 2θ 53.49, I = 28
- 2θ 60.64, I = 31


# 6
Structure and calculated PXRD pattern of MnCrPbF6 (a structure optimized by DFT (GGA+U); Cu Ka).
Lines closer than 0.1° are merged.

Structural model:
abc: 5.645 5.645 10.479
angles: 90.00 90.00 120.00
Sites, in units of the cell vectors:
Mn 0.333 0.667 0.250
Mn 0.667 0.333 0.750
Cr 0.333 0.667 0.750
Cr 0.667 0.333 0.250
Pb 0.000 0.000 0.000
Pb 0.000 0.000 0.500
F 0.003 0.360 0.642
F 0.003 0.643 0.858
F 0.357 0.360 0.858
F 0.357 0.997 0.642
F 0.360 0.003 0.142
F 0.360 0.357 0.358
F 0.640 0.643 0.642
F 0.640 0.997 0.858
F 0.643 0.003 0.358
F 0.643 0.640 0.142
F 0.997 0.357 0.142
F 0.997 0.640 0.358

Largest 10 diffraction maxima, low angle first, 10° ≤ 2θ ≤ 80°:
- 2θ 18.14, I = 27
- 2θ 24.91, I = 100
- 2θ 31.70, I = 26
- 2θ 36.15, I = 12
- 2θ 39.01, I = 12
- 2θ 40.73, I = 26
- 2θ 47.34, I = 34
- 2θ 52.51, I = 26
- 2θ 56.46, I = 13
- 2θ 71.92, I = 11


# 7
Structure and calculated PXRD pattern of MnTlCrTcF (a structure optimized by DFT (GGA+U); Cu Ka).
Lines closer than 0.1° are merged.

Structural model:
abc: 3.052 4.831 6.910
angles: 102.87 102.50 90.66
Sites, in units of the cell vectors:
Mn 0.000 0.000 0.000
Tl 0.173 0.664 0.344
Cr 0.338 0.294 0.673
Tc 0.671 0.166 0.342
F 0.423 0.692 0.851

Largest 10 diffraction maxima, low angle first, 10° ≤ 2θ ≤ 80°:
- 2θ 13.49, I = 100
- 2θ 25.73, I = 17
- 2θ 27.17, I = 30
- 2θ 29.38, I = 17
- 2θ 36.44, I = 22
- 2θ 36.76, I = 22
- 2θ 37.55, I = 26
- 2θ 38.27, I = 36
- 2θ 38.64, I = 22
- 2θ 41.26, I = 20


# 8
Structure and calculated PXRD pattern of NaCr2MoF8 (a structure optimized by DFT (GGA+U); Cu Ka).
Lines closer than 0.1° are merged.

Structural model:
abc: 4.979 4.979 6.947
angles: 92.92 92.92 88.11
Sites, in units of the cell vectors:
Na 0.000 0.000 0.000
Cr 0.491 0.491 0.757
Cr 0.509 0.509 0.243
Mo 0.000 0.000 0.500
F 0.200 0.796 0.273
F 0.204 0.800 0.727
F 0.297 0.297 0.524
F 0.315 0.315 0.023
F 0.685 0.685 0.977
F 0.703 0.703 0.476
F 0.796 0.200 0.273
F 0.800 0.204 0.727

Largest 10 diffraction maxima, low angle first, 10° ≤ 2θ ≤ 80°:
- 2θ 12.78, I = 48
- 2θ 21.48, I = 40
- 2θ 24.95, I = 100
- 2θ 25.73, I = 89
- 2θ 30.72, I = 75
- 2θ 32.22, I = 41
- 2θ 46.63, I = 36
- 2θ 48.60, I = 38
- 2θ 49.77, I = 35
- 2θ 52.83, I = 28